Nd2SbO2: computed powder X-ray diffraction pattern (Cu Kα (λ = 1.5418 Å)), based on DFT lattice parameters and positions (GGA-PBE).
Kinematic intensities with the Lorentz-polarization factor, no thermal factor.

Most intense lines, 2θ from 10° to 90°, by angle:
2θ 29.55, d 3.023, I 1000; 2θ 31.62, d 2.829, I 352; 2θ 39.03, d 2.308, I 99; 2θ 45.33, d 2.001, I 178; 2θ 51.08, d 1.788, I 247; 2θ 55.04, d 1.668, I 346; 2θ 61.33, d 1.512, I 108; 2θ 64.94, d 1.436, I 102; 2θ 73.98, d 1.281, I 71; 2θ 75.07, d 1.265, I 61; 2θ 82.73, d 1.167, I 105; 2θ 88.03, d 1.109, I 103

Crystal structure
```
data_Nd2SbO2
_chemical_formula_sum 'Nd2 Sb1 O2'
_cell_length_a 7.479
_cell_length_b 7.479
_cell_length_c 7.479
_cell_angle_alpha 148.97
_cell_angle_beta 148.97
_cell_angle_gamma 44.46
_space_group_name_H-M_alt 'P 1'
_space_group_IT_number 1
loop_
_space_group_symop_operation_xyz
'x,y,z'
loop_
_atom_site_label
_atom_site_fract_x
_atom_site_fract_y
_atom_site_fract_z
_atom_site_occupancy
Nd1 0.164 0.164 0.000 1
Nd2 0.836 0.836 0.000 1
Sb1 0.500 0.500 0.000 1
O1 0.250 0.750 0.500 1
O2 0.750 0.250 0.500 1
```